The following is a theoretical X-ray powder pattern of Zr5Si2Sn. It was derived from a crystal structure in Alexandria, relaxed with GGA-PBE, using Cu Kα X-rays.
Kinematic intensities with the Lorentz-polarization factor, no thermal factor.

Atomic structure:
```
Zr5Si2Sn
1.0
-3.567 3.567 6.420
3.567 -3.567 6.420
3.567 3.567 -6.420
Zr Si Sn
10 4 2
direct
0.000 0.000 0.000
0.024 0.524 0.830
0.194 0.024 0.500
0.306 0.806 0.830
0.476 0.306 0.500
0.500 0.500 0.000
0.524 0.694 0.500
0.694 0.194 0.170
0.806 0.976 0.500
0.976 0.476 0.170
0.129 0.371 0.500
0.371 0.871 0.242
0.629 0.129 0.758
0.871 0.629 0.500
0.250 0.250 0.000
0.750 0.750 0.000
```

Most intense lines, 2θ = 15–90°, in order of rising 2θ:
2θ (°)	I/Imax
28.8	37
33.1	53
35.1	100
35.6	26
37.7	69
40.0	77
57.4	26
58.0	15
59.3	15
62.3	30
72.2	20
73.9	15

***

The following is a theoretical X-ray powder pattern of Na6LaBr8. It was derived from a crystal structure in Alexandria, relaxed with GGA-PBE, using Cu Kα X-rays.
Kinematic intensities with the Lorentz-polarization factor, no thermal factor.

Atomic structure:
```
Na6LaBr8
1.0
0.000 6.156 6.156
6.156 0.000 6.156
6.156 6.156 0.000
Na La Br
6 1 8
direct
0.000 0.000 0.500
0.000 0.500 0.000
0.000 0.500 0.500
0.500 0.000 0.000
0.500 0.000 0.500
0.500 0.500 0.000
0.000 0.000 0.000
0.246 0.246 0.754
0.246 0.754 0.246
0.246 0.754 0.754
0.250 0.250 0.250
0.750 0.750 0.750
0.754 0.246 0.246
0.754 0.246 0.754
0.754 0.754 0.246
```

Most intense lines, 2θ = 15–90°, in order of rising 2θ:
2θ (°)	I/Imax
24.0	13
25.1	31
29.0	100
38.0	7
41.5	74
43.5	7
49.1	14
51.4	26
60.1	12
66.2	6
68.1	32
75.7	24

***

The following is a theoretical X-ray powder pattern of Dy4BSe2S. It was derived from a crystal structure in Alexandria, relaxed with GGA-PBE, using Cu Kα X-rays.
Kinematic intensities with the Lorentz-polarization factor, no thermal factor.

Atomic structure:
```
Dy4BSe2S
1.0
-2.810 2.810 5.630
2.810 -2.810 5.630
2.810 2.810 -5.630
Dy B Se S
4 1 2 1
direct
0.228 0.228 0.000
0.505 0.005 0.500
0.772 0.772 0.000
0.995 0.495 0.500
0.000 0.000 0.000
0.250 0.750 0.500
0.500 0.500 0.000
0.750 0.250 0.500
```

Most intense lines, 2θ = 15–90°, in order of rising 2θ:
2θ (°)	I/Imax
27.5	51
28.6	12
31.8	100
43.3	9
45.6	70
54.1	22
56.7	23
66.5	8
73.4	7
75.6	17
75.7	11
84.4	21

***

The following is a theoretical X-ray powder pattern of Na5Sn2S6. It was derived from a crystal structure in Alexandria, relaxed with GGA-PBE, using Cu Kα X-rays.
Kinematic intensities with the Lorentz-polarization factor, no thermal factor.

Atomic structure:
```
Na5Sn2S6
1.0
6.507 -3.809 0.000
6.507 3.809 0.000
-2.591 0.000 14.388
Na Sn S
10 4 12
direct
0.044 0.956 0.750
0.203 0.605 0.449
0.320 0.406 0.702
0.395 0.797 0.051
0.406 0.320 0.202
0.594 0.680 0.798
0.605 0.203 0.949
0.680 0.594 0.298
0.797 0.395 0.551
0.956 0.044 0.250
0.071 0.496 0.894
0.496 0.071 0.394
0.504 0.929 0.606
0.929 0.504 0.106
0.018 0.643 0.257
0.234 0.235 0.516
0.235 0.234 0.016
0.299 0.631 0.878
0.357 0.982 0.243
0.369 0.701 0.622
0.631 0.299 0.378
0.643 0.018 0.757
0.701 0.369 0.122
0.765 0.766 0.984
0.766 0.765 0.484
0.982 0.357 0.743
```

Most intense lines, 2θ = 15–90°, in order of rising 2θ:
2θ (°)	I/Imax
15.4	100
20.1	32
22.0	36
23.4	20
23.7	29
24.2	23
28.9	27
34.3	24
35.2	43
37.8	20
38.6	56
46.5	20

***

The following is a theoretical X-ray powder pattern of CrCuPt14. It was derived from a crystal structure in Alexandria, relaxed with GGA-PBE, using Cu Kα X-rays.
Kinematic intensities with the Lorentz-polarization factor, no thermal factor.

Atomic structure:
```
CrCuPt14
1.0
5.607 0.000 0.000
0.000 5.607 0.000
0.000 0.000 7.799
Cr Cu Pt
1 1 14
direct
0.000 0.000 0.000
0.500 0.500 0.000
0.000 0.000 0.500
0.000 0.500 0.000
0.000 0.500 0.500
0.249 0.249 0.242
0.249 0.249 0.758
0.249 0.751 0.242
0.249 0.751 0.758
0.500 0.000 0.000
0.500 0.000 0.500
0.500 0.500 0.500
0.751 0.249 0.242
0.751 0.249 0.758
0.751 0.751 0.242
0.751 0.751 0.758
```

Most intense lines, 2θ = 15–90°, in order of rising 2θ:
2θ (°)	I/Imax
22.4	2
25.2	3
32.2	1
34.0	2
39.6	100
45.8	33
46.6	16
66.7	11
67.4	21
80.5	26
81.7	12
85.3	11

***

The following is a theoretical X-ray powder pattern of La3PmY7. It was derived from a crystal structure in Alexandria, relaxed with GGA-PBE, using Cu Kα X-rays.
Kinematic intensities with the Lorentz-polarization factor, no thermal factor.

Atomic structure:
```
La3PmY7
1.0
6.618 0.000 0.000
-0.595 6.741 0.000
-1.291 -1.582 8.526
La Pm Y
3 1 7
direct
0.000 0.000 0.000
0.197 0.563 0.161
0.803 0.437 0.839
0.500 0.000 0.500
0.012 0.767 0.582
0.279 0.277 0.786
0.442 0.794 0.853
0.500 0.500 0.500
0.558 0.206 0.147
0.721 0.723 0.214
0.988 0.233 0.418
```

Most intense lines, 2θ = 15–90°, in order of rising 2θ:
2θ (°)	I/Imax
24.9	14
26.9	21
31.0	100
31.5	37
31.6	68
31.7	89
31.9	25
32.0	14
32.2	18
32.5	32
34.2	19
56.8	22

***

The following is a theoretical X-ray powder pattern of PrNiH6Pd. It was derived from a crystal structure in Alexandria, relaxed with GGA-PBE, using Cu Kα X-rays.
Kinematic intensities with the Lorentz-polarization factor, no thermal factor.

Atomic structure:
```
PrNiH6Pd
1.0
4.642 0.000 0.000
-2.321 4.020 0.000
0.000 0.000 4.314
Pr Ni H Pd
1 1 6 1
direct
0.000 0.000 0.000
0.667 0.333 0.500
0.513 0.027 0.249
0.513 0.027 0.751
0.513 0.487 0.249
0.513 0.487 0.751
0.973 0.487 0.249
0.973 0.487 0.751
0.333 0.667 0.500
```

Most intense lines, 2θ = 15–90°, in order of rising 2θ:
2θ (°)	I/Imax
22.1	8
30.4	100
38.8	47
41.9	12
50.1	25
58.4	28
65.1	22
69.4	9
70.2	8
82.5	6
83.3	5
85.3	10

***

The following is a theoretical X-ray powder pattern of U4N7. It was derived from a crystal structure in Alexandria, relaxed with GGA-PBE, using Cu Kα X-rays.
Kinematic intensities with the Lorentz-polarization factor, no thermal factor.

Atomic structure:
```
U4N7
1.0
-5.318 5.318 5.309
5.318 -5.318 5.309
5.318 5.318 -5.309
U N
16 28
direct
0.000 0.000 0.000
0.006 0.233 0.744
0.026 0.526 0.500
0.233 0.489 0.227
0.248 0.273 0.500
0.262 0.006 0.773
0.273 0.773 0.025
0.489 0.262 0.256
0.500 0.500 0.000
0.506 0.762 0.773
0.526 0.026 0.500
0.733 0.506 0.744
0.748 0.248 0.975
0.762 0.989 0.256
0.773 0.748 0.500
0.989 0.733 0.227
0.000 0.275 0.500
0.011 0.989 0.753
0.022 0.996 0.268
0.043 0.773 0.500
0.228 0.496 0.974
0.236 0.259 0.247
0.248 0.748 0.770
0.254 0.228 0.732
0.259 0.011 0.022
0.273 0.543 0.500
0.275 0.775 0.274
0.477 0.248 0.500
0.489 0.511 0.753
0.496 0.522 0.268
0.500 0.000 0.726
0.511 0.759 0.022
0.522 0.254 0.026
0.543 0.043 0.270
0.728 0.754 0.732
0.736 0.489 0.978
0.748 0.977 0.500
0.754 0.022 0.026
0.759 0.736 0.247
0.773 0.273 0.730
0.775 0.500 0.500
0.977 0.477 0.230
0.989 0.236 0.978
0.996 0.728 0.974
```

Most intense lines, 2θ = 15–90°, in order of rising 2θ:
2θ (°)	I/Imax
20.5	2
29.1	100
33.7	41
43.4	3
48.4	41
57.5	41
58.9	3
60.3	10
70.9	4
78.4	15
80.8	8
81.0	4

***

The following is a theoretical X-ray powder pattern of Al2NiCl8. It was derived from a crystal structure in Alexandria, relaxed with GGA-PBE, using Cu Kα X-rays.
Kinematic intensities with the Lorentz-polarization factor, no thermal factor.

Atomic structure:
```
Al2NiCl8
1.0
7.087 -4.222 0.000
7.087 4.222 0.000
-0.400 0.000 11.559
Al Ni Cl
4 2 16
direct
0.153 0.690 0.950
0.310 0.847 0.550
0.690 0.153 0.450
0.847 0.310 0.050
0.012 0.988 0.750
0.988 0.012 0.250
0.116 0.164 0.137
0.129 0.721 0.138
0.150 0.724 0.618
0.164 0.116 0.637
0.276 0.850 0.882
0.279 0.871 0.362
0.296 0.407 0.910
0.407 0.296 0.410
0.593 0.704 0.590
0.704 0.593 0.090
0.721 0.129 0.638
0.724 0.150 0.118
0.836 0.884 0.363
0.850 0.276 0.382
0.871 0.279 0.862
0.884 0.836 0.863
```

Most intense lines, 2θ = 15–90°, in order of rising 2θ:
2θ (°)	I/Imax
19.5	34
19.8	21
20.2	18
21.6	17
26.1	18
29.1	48
29.3	100
30.9	17
39.5	22
40.2	20
40.8	30
43.9	37

***

The following is a theoretical X-ray powder pattern of K4Pd. It was derived from a crystal structure in Alexandria, relaxed with GGA-PBE, using Cu Kα X-rays.
Kinematic intensities with the Lorentz-polarization factor, no thermal factor.

Atomic structure:
```
K4Pd
1.0
-4.551 8.435 3.206
4.551 -8.435 3.206
4.551 8.435 -3.206
K Pd
8 2
direct
0.072 0.699 0.771
0.164 0.128 0.293
0.336 0.628 0.964
0.428 0.199 0.627
0.572 0.801 0.373
0.664 0.372 0.036
0.836 0.872 0.707
0.928 0.301 0.229
0.250 0.250 0.000
0.750 0.750 0.000
```

Most intense lines, 2θ = 15–90°, in order of rising 2θ:
2θ (°)	I/Imax
24.6	44
27.1	62
28.2	39
28.9	35
30.0	59
33.6	100
34.2	33
35.2	28
35.9	42
37.6	21
38.6	20
49.4	22

***

The following is a theoretical X-ray powder pattern of Tb2Nd6SmHo. It was derived from a crystal structure in Alexandria, relaxed with GGA-PBE, using Cu Kα X-rays.
Kinematic intensities with the Lorentz-polarization factor, no thermal factor.

Atomic structure:
```
Tb2Nd6SmHo
1.0
4.641 -7.684 0.000
4.641 7.684 0.000
-1.266 0.000 9.630
Tb Nd Sm Ho
4 12 2 2
direct
0.201 0.299 0.046
0.299 0.201 0.546
0.701 0.799 0.454
0.799 0.701 0.954
0.010 0.565 0.187
0.118 0.759 0.555
0.241 0.882 0.945
0.293 0.510 0.382
0.435 0.990 0.313
0.490 0.707 0.118
0.510 0.293 0.882
0.565 0.010 0.687
0.707 0.490 0.618
0.759 0.118 0.055
0.882 0.241 0.445
0.990 0.435 0.813
0.026 0.974 0.250
0.974 0.026 0.750
0.411 0.589 0.750
0.589 0.411 0.250
```

Most intense lines, 2θ = 15–90°, in order of rising 2θ:
2θ (°)	I/Imax
27.6	35
28.1	66
30.0	88
30.2	77
30.3	21
30.7	67
30.9	100
31.0	63
31.7	36
33.3	66
34.0	25
50.0	20

***

Number 5 is which compound?
CrCuPt14